Starting from a PBE-relaxed structure, the powder diffractogram of PuTh2Ga6 was simulated for Cu Kα.

Atomic structure:
```
data_PuTh2Ga6
_chemical_formula_sum 'Pu1 Th2 Ga6'
_cell_length_a 7.393
_cell_length_b 7.393
_cell_length_c 4.222
_cell_angle_alpha 90.00
_cell_angle_beta 90.00
_cell_angle_gamma 120.00
_space_group_name_H-M_alt 'P 1'
_space_group_IT_number 1
_space_group_name_Hall 'P 1'
loop_
_atom_site_label
_atom_site_fract_x
_atom_site_fract_y
_atom_site_fract_z
Pu1 0.000 0.000 0.000
Th1 0.333 0.667 0.000
Th2 0.667 0.333 0.000
Ga1 0.000 0.332 0.500
Ga2 0.000 0.668 0.500
Ga3 0.332 0.000 0.500
Ga4 0.332 0.332 0.500
Ga5 0.668 0.000 0.500
Ga6 0.668 0.668 0.500
```

Peak list (8 most intense, 2θ from 10° to 80°, sorted by position)
Position (°2θ)  Rel. int.
24.1  26
32.2  100
42.4  37
42.8  12
54.2  23
61.8  24
71.1  21
71.8  10

---

Starting from a PBE-relaxed structure, the powder diffractogram of BaMn2ReRu was simulated for Cu Kα.

Atomic structure:
```
data_BaMn2ReRu
_chemical_formula_sum 'Ba1 Mn2 Re1 Ru1'
_cell_length_a 4.603
_cell_length_b 4.603
_cell_length_c 4.864
_cell_angle_alpha 90.00
_cell_angle_beta 90.00
_cell_angle_gamma 90.00
_space_group_name_H-M_alt 'P 1'
_space_group_IT_number 1
_space_group_name_Hall 'P 1'
loop_
_atom_site_label
_atom_site_fract_x
_atom_site_fract_y
_atom_site_fract_z
Ba1 0.000 0.000 0.000
Mn1 0.000 0.500 0.000
Mn2 0.500 0.000 0.000
Re1 0.500 0.500 0.500
Ru1 0.000 0.000 0.500
```

Peak list (8 most intense, 2θ from 10° to 80°, sorted by position)
Position (°2θ)  Rel. int.
26.7  87
27.4  85
33.1  81
37.0  59
39.1  100
46.6  41
48.0  36
54.9  73

---

Starting from a PBE-relaxed structure, the powder diffractogram of Pr6DyY8 was simulated for Cu Kα.

Atomic structure:
```
data_Pr6DyY8
_chemical_formula_sum 'Pr6 Dy1 Y8'
_cell_length_a 8.816
_cell_length_b 8.816
_cell_length_c 8.816
_cell_angle_alpha 62.80
_cell_angle_beta 62.80
_cell_angle_gamma 62.80
_space_group_name_H-M_alt 'P 1'
_space_group_IT_number 1
_space_group_name_Hall 'P 1'
loop_
_atom_site_label
_atom_site_fract_x
_atom_site_fract_y
_atom_site_fract_z
Pr1 0.038 0.729 0.601
Pr2 0.271 0.399 0.962
Pr3 0.399 0.962 0.271
Pr4 0.601 0.038 0.729
Pr5 0.729 0.601 0.038
Pr6 0.962 0.271 0.399
Dy1 0.500 0.500 0.500
Y1 0.077 0.077 0.077
Y2 0.215 0.252 0.612
Y3 0.252 0.612 0.215
Y4 0.388 0.785 0.748
Y5 0.612 0.215 0.252
Y6 0.748 0.388 0.785
Y7 0.785 0.748 0.388
Y8 0.923 0.923 0.923
```

Peak list (8 most intense, 2θ from 10° to 80°, sorted by position)
Position (°2θ)  Rel. int.
30.0  24
30.9  100
31.7  29
32.0  11
34.3  11
36.2  14
52.0  10
54.4  12

---

Starting from a PBE-relaxed structure, the powder diffractogram of KSb2Te3 was simulated for Cu Kα.

Atomic structure:
```
data_KSb2Te3
_chemical_formula_sum 'K2 Sb4 Te6'
_cell_length_a 7.883
_cell_length_b 7.997
_cell_length_c 8.263
_cell_angle_alpha 69.63
_cell_angle_beta 72.52
_cell_angle_gamma 83.00
_space_group_name_H-M_alt 'P 1'
_space_group_IT_number 1
_space_group_name_Hall 'P 1'
loop_
_atom_site_label
_atom_site_fract_x
_atom_site_fract_y
_atom_site_fract_z
K1 0.000 0.000 0.000
K2 0.205 0.770 0.534
Sb1 0.085 0.423 0.287
Sb2 0.585 0.236 0.338
Sb3 0.612 0.392 0.757
Sb4 0.620 0.622 0.141
Te1 0.324 0.305 0.643
Te2 0.380 0.146 0.148
Te3 0.436 0.696 0.872
Te4 0.814 0.671 0.429
Te5 0.899 0.131 0.565
Te6 0.947 0.472 0.973
```

Peak list (8 most intense, 2θ from 10° to 80°, sorted by position)
Position (°2θ)  Rel. int.
11.8  100
24.3  44
26.4  34
27.4  75
27.7  99
28.7  24
33.4  29
38.1  27

---

Starting from a PBE-relaxed structure, the powder diffractogram of Ba11Cd8Bi14 was simulated for Cu Kα.

Atomic structure:
```
data_Ba11Cd8Bi14
_chemical_formula_sum 'Ba11 Cd8 Bi14'
_cell_length_a 14.636
_cell_length_b 14.636
_cell_length_c 17.183
_cell_angle_alpha 91.78
_cell_angle_beta 91.78
_cell_angle_gamma 19.73
_space_group_name_H-M_alt 'P 1'
_space_group_IT_number 1
_space_group_name_Hall 'P 1'
loop_
_atom_site_label
_atom_site_fract_x
_atom_site_fract_y
_atom_site_fract_z
Ba1 0.000 0.000 0.000
Ba2 0.120 0.120 0.165
Ba3 0.154 0.154 0.907
Ba4 0.242 0.242 0.705
Ba5 0.355 0.355 0.461
Ba6 0.490 0.490 0.635
Ba7 0.510 0.510 0.365
Ba8 0.645 0.645 0.539
Ba9 0.758 0.758 0.295
Ba10 0.846 0.846 0.093
Ba11 0.880 0.880 0.835
Cd1 0.096 0.096 0.691
Cd2 0.118 0.118 0.393
Cd3 0.298 0.298 0.957
Cd4 0.441 0.441 0.154
Cd5 0.559 0.559 0.846
Cd6 0.702 0.702 0.043
Cd7 0.882 0.882 0.607
Cd8 0.904 0.904 0.309
Bi1 0.008 0.008 0.791
Bi2 0.057 0.057 0.527
Bi3 0.226 0.226 0.456
Bi4 0.244 0.244 0.118
Bi5 0.350 0.350 0.254
Bi6 0.363 0.363 0.688
Bi7 0.407 0.407 0.983
Bi8 0.593 0.593 0.017
Bi9 0.637 0.637 0.312
Bi10 0.650 0.650 0.746
Bi11 0.756 0.756 0.882
Bi12 0.774 0.774 0.544
Bi13 0.943 0.943 0.473
Bi14 0.992 0.992 0.209
```

Peak list (8 most intense, 2θ from 10° to 80°, sorted by position)
Position (°2θ)  Rel. int.
23.9  41
26.9  31
27.4  39
27.6  42
28.4  46
28.7  100
29.1  49
35.8  92

---

Starting from a PBE-relaxed structure, the powder diffractogram of KLiHgTe2 was simulated for Cu Kα.

Atomic structure:
```
data_KLiHgTe2
_chemical_formula_sum 'K2 Li2 Hg2 Te4'
_cell_length_a 8.387
_cell_length_b 8.387
_cell_length_c 6.855
_cell_angle_alpha 90.00
_cell_angle_beta 90.00
_cell_angle_gamma 134.75
_space_group_name_H-M_alt 'P 1'
_space_group_IT_number 1
_space_group_name_Hall 'P 1'
loop_
_atom_site_label
_atom_site_fract_x
_atom_site_fract_y
_atom_site_fract_z
K1 0.250 0.750 0.792
K2 0.750 0.250 0.208
Li1 0.250 0.250 0.500
Li2 0.750 0.750 0.500
Hg1 0.000 0.000 0.000
Hg2 0.500 0.500 0.000
Te1 0.120 0.880 0.280
Te2 0.380 0.620 0.280
Te3 0.620 0.380 0.720
Te4 0.880 0.120 0.720
```

Peak list (8 most intense, 2θ from 10° to 80°, sorted by position)
Position (°2θ)  Rel. int.
11.4  90
17.3  75
19.7  56
25.6  100
26.4  55
27.6  92
35.0  67
45.1  63

---

Starting from a PBE-relaxed structure, the powder diffractogram of Rb2Ga2Ge3O10 was simulated for Cu Kα.

Atomic structure:
```
data_Rb2Ga2Ge3O10
_chemical_formula_sum 'Rb4 Ga4 Ge6 O20'
_cell_length_a 9.752
_cell_length_b 9.752
_cell_length_c 13.069
_cell_angle_alpha 130.86
_cell_angle_beta 130.86
_cell_angle_gamma 40.76
_space_group_name_H-M_alt 'P 1'
_space_group_IT_number 1
_space_group_name_Hall 'P 1'
loop_
_atom_site_label
_atom_site_fract_x
_atom_site_fract_y
_atom_site_fract_z
Rb1 0.001 0.496 0.881
Rb2 0.137 0.137 0.378
Rb3 0.504 0.999 0.119
Rb4 0.863 0.863 0.622
Ga1 0.127 0.607 0.308
Ga2 0.393 0.873 0.692
Ga3 0.435 0.419 0.802
Ga4 0.581 0.565 0.198
Ge1 0.128 0.872 0.000
Ge2 0.437 0.434 0.570
Ge3 0.566 0.563 0.430
Ge4 0.622 0.120 0.948
Ge5 0.880 0.120 0.500
Ge6 0.880 0.378 0.052
O1 0.018 0.483 0.113
O2 0.050 0.082 0.970
O3 0.128 0.104 0.617
O4 0.169 0.644 0.842
O5 0.282 0.675 0.332
O6 0.321 0.383 0.384
O7 0.325 0.718 0.668
O8 0.356 0.831 0.158
O9 0.379 0.346 0.612
O10 0.492 0.375 0.074
O11 0.517 0.982 0.887
O12 0.575 0.150 0.806
O13 0.617 0.679 0.616
O14 0.625 0.508 0.926
O15 0.654 0.621 0.388
O16 0.735 0.263 0.614
O17 0.737 0.265 0.386
O18 0.850 0.425 0.194
O19 0.896 0.872 0.383
O20 0.918 0.950 0.030
```

Peak list (8 most intense, 2θ from 10° to 80°, sorted by position)
Position (°2θ)  Rel. int.
13.5  50
21.3  50
21.6  52
27.6  63
28.0  100
28.1  66
31.0  93
31.3  84

---

Starting from a PBE-relaxed structure, the powder diffractogram of LaAgHg4 was simulated for Cu Kα.

Atomic structure:
```
data_LaAgHg4
_chemical_formula_sum 'La2 Ag2 Hg8'
_cell_length_a 8.551
_cell_length_b 8.551
_cell_length_c 7.228
_cell_angle_alpha 90.00
_cell_angle_beta 90.00
_cell_angle_gamma 144.98
_space_group_name_H-M_alt 'P 1'
_space_group_IT_number 1
_space_group_name_Hall 'P 1'
loop_
_atom_site_label
_atom_site_fract_x
_atom_site_fract_y
_atom_site_fract_z
La1 0.170 0.830 0.500
La2 0.830 0.170 0.000
Ag1 0.345 0.655 0.296
Ag2 0.655 0.345 0.796
Hg1 0.025 0.975 0.835
Hg2 0.202 0.798 0.995
Hg3 0.352 0.648 0.704
Hg4 0.475 0.525 0.030
Hg5 0.525 0.475 0.530
Hg6 0.648 0.352 0.204
Hg7 0.798 0.202 0.495
Hg8 0.975 0.025 0.335
```

Peak list (8 most intense, 2θ from 10° to 80°, sorted by position)
Position (°2θ)  Rel. int.
30.7  16
33.0  19
34.5  100
34.9  67
48.7  13
62.3  18
66.9  11
70.8  13

---

Starting from a PBE-relaxed structure, the powder diffractogram of NdTm4Zn4 was simulated for Cu Kα.

Atomic structure:
```
data_NdTm4Zn4
_chemical_formula_sum 'Nd1 Tm4 Zn4'
_cell_length_a 7.120
_cell_length_b 7.120
_cell_length_c 7.120
_cell_angle_alpha 97.27
_cell_angle_beta 97.27
_cell_angle_gamma 138.32
_space_group_name_H-M_alt 'P 1'
_space_group_IT_number 1
_space_group_name_Hall 'P 1'
loop_
_atom_site_label
_atom_site_fract_x
_atom_site_fract_y
_atom_site_fract_z
Nd1 0.000 0.000 0.000
Tm1 0.106 0.649 0.755
Tm2 0.351 0.106 0.457
Tm3 0.649 0.894 0.543
Tm4 0.894 0.351 0.245
Zn1 0.315 0.419 0.733
Zn2 0.419 0.685 0.104
Zn3 0.581 0.315 0.896
Zn4 0.685 0.581 0.267
```

Peak list (8 most intense, 2θ from 10° to 80°, sorted by position)
Position (°2θ)  Rel. int.
27.6  99
30.0  59
33.6  37
35.4  48
38.8  100
47.1  34
62.8  17
65.9  21